Entry 1:
Structure and calculated powder XRD pattern of Pm3MnO7 (a structure optimized by DFT (GGA+U); Cu Kα).
Neutral-atom scattering factors, no anomalous dispersion.

Structural model:
Cell lengths 7.627, 10.723, 7.542 Å; angles 90.00, 90.00, 90.00 degrees
Space group C222_1 (No. 20)
Symmetry-distinct sites (fractional):
Pm 0.029 0.000 0.000 [4 per cell]
Pm 0.232 0.272 0.756 [8 per cell]
Mn 0.004 0.500 0.500 [4 per cell]
O 0.000 0.130 0.250 [4 per cell]
O 0.000 0.135 0.750 [4 per cell]
O 0.000 0.436 0.750 [4 per cell]
O 0.183 0.380 0.034 [8 per cell]
O 0.195 0.379 0.475 [8 per cell]

Principal peaks in the range 10° ≤ 2θ ≤ 90°, in order of rising 2θ:
d = 6.215 Å, intensity 110, (1 1 0)
d = 3.108 Å, intensity 999, (2 2 0)
d = 3.085 Å, intensity 1000, (0 2 2)
d = 2.681 Å, intensity 619, (2 0 2)
d = 1.907 Å, intensity 124, (4 0 0)
d = 1.896 Å, intensity 550, (2 4 2)
d = 1.886 Å, intensity 177, (0 0 4)
d = 1.622 Å, intensity 219, (4 2 2)
d = 1.615 Å, intensity 100, (0 6 2)
d = 1.612 Å, intensity 280, (2 2 4)

Entry 2:
Structure and calculated powder XRD pattern of Pm3MnO6 (a structure optimized by DFT (GGA+U); Cu Kα).
Neutral-atom scattering factors, no anomalous dispersion.

Structural model:
Cell lengths 9.295, 11.408, 5.634 Å; angles 90.00, 90.00, 90.00 degrees
Space group Cmc2_1 (No. 36)
Symmetry-distinct sites (fractional):
Pm 0.000 0.104 0.000 [4 per cell]
Pm 0.199 0.389 0.953 [8 per cell]
Mn 0.000 0.328 0.426 [4 per cell]
O 0.000 0.282 0.754 [4 per cell]
O 0.000 0.460 0.222 [4 per cell]
O 0.156 0.246 0.255 [8 per cell]
O 0.158 0.013 0.725 [8 per cell]

Principal peaks in the range 10° ≤ 2θ ≤ 90°, in order of rising 2θ:
d = 4.438 Å, intensity 154, (1 1 1)
d = 3.035 Å, intensity 1000, (2 2 1)
d = 2.987 Å, intensity 404, (1 3 1)
d = 2.852 Å, intensity 139, (0 4 0)
d = 2.817 Å, intensity 171, (0 0 2)
d = 2.050 Å, intensity 191, (3 1 2)
d = 2.004 Å, intensity 206, (0 4 2)
d = 1.838 Å, intensity 160, (3 5 0)
d = 1.665 Å, intensity 140, (2 2 3)
d = 1.601 Å, intensity 134, (5 3 1)

Entry 3:
Structure and calculated powder XRD pattern of PmMn4O8 (a structure optimized by DFT (GGA+U); Cu Kα).
Neutral-atom scattering factors, no anomalous dispersion.

Structural model:
Cell lengths 5.773, 6.164, 6.166 Å; angles 103.85, 117.36, 103.24 degrees
Space group P-1 (No. 2)
Symmetry-distinct sites (fractional):
Pm 0.000 0.000 0.000 [1 per cell]
Mn 0.250 0.490 0.755 [2 per cell]
Mn 0.281 0.557 0.285 [2 per cell]
O 0.003 0.331 0.317 [2 per cell]
O 0.021 0.717 0.197 [2 per cell]
O 0.465 0.315 0.290 [2 per cell]
O 0.490 0.305 0.832 [2 per cell]

Principal peaks in the range 10° ≤ 2θ ≤ 90°, in order of rising 2θ:
d = 5.503 Å, intensity 974, (0 1 0)
d = 5.086 Å, intensity 977, (1 0 -1)
d = 5.022 Å, intensity 766, (0 0 1)
d = 4.578 Å, intensity 735, (1 -1 0)
d = 3.139 Å, intensity 664, (0 1 1)
d = 2.733 Å, intensity 1000, (0 1 -2)
d = 2.562 Å, intensity 736, (2 -1 0)
d = 2.543 Å, intensity 693, (2 0 -2)
d = 2.003 Å, intensity 766, (0 1 2)
d = 1.840 Å, intensity 748, (2 -3 0)

Entry 4:
Structure and calculated powder XRD pattern of PmMnSeO5 (a structure optimized by DFT (GGA+U); Cu Kα).
Neutral-atom scattering factors, no anomalous dispersion.

Structural model:
Cell lengths 7.198, 10.425, 7.362 Å; angles 90.00, 106.13, 90.00 degrees
Space group C2/c (No. 15)
Symmetry-distinct sites (fractional):
Pm 0.250 0.250 0.000 [4 per cell]
Mn 0.000 0.003 0.250 [4 per cell]
Se 0.000 0.480 0.250 [4 per cell]
O 0.000 0.174 0.750 [4 per cell]
O 0.014 0.372 0.081 [8 per cell]
O 0.194 0.047 0.137 [8 per cell]

Principal peaks in the range 10° ≤ 2θ ≤ 90°, in order of rising 2θ:
d = 5.080 Å, intensity 1000, (1 1 -1)
d = 4.033 Å, intensity 754, (1 1 1)
d = 2.983 Å, intensity 421, (1 3 -1)
d = 2.926 Å, intensity 921, (0 2 2)
d = 2.910 Å, intensity 425, (2 0 -2)
d = 2.881 Å, intensity 714, (2 2 0)
d = 2.606 Å, intensity 268, (0 4 0)
d = 2.187 Å, intensity 244, (2 0 2)
d = 1.941 Å, intensity 285, (2 4 -2)
d = 1.692 Å, intensity 270, (2 2 -4)